Record 1
Computed powder diffraction line list of CaFe3P3O13 for Cu Ka, from the PBE+U geometry in the Materials Project.
Neutral-atom scattering factors, no anomalous dispersion.

Structural model:
```
40
Lattice="7.676 0.000 0.000 0.000 6.409 0.000 -1.765 0.000 10.140" Properties=species:S:1:pos:R:3 pbc="T T T"
Ca 0.850 1.602 1.975
Ca 5.062 4.806 8.166
Fe -0.283 1.602 8.084
Fe 1.434 4.806 4.439
Fe 3.838 0.000 0.000
Fe 3.838 3.204 0.000
Fe 4.478 1.602 5.701
Fe 6.195 4.806 2.056
P 1.211 4.806 1.156
P 0.474 4.806 7.721
P 1.273 1.602 5.175
P 4.639 4.806 4.965
P 5.437 1.602 2.419
P 4.701 1.602 8.984
O -1.670 1.602 9.807
O -0.458 3.602 7.972
O -0.458 6.011 7.972
O 0.623 4.806 2.608
O 0.106 1.602 6.160
O 1.192 0.388 4.200
O 1.192 2.817 4.200
O 2.053 3.518 0.971
O 2.053 6.095 0.971
O 1.121 4.806 6.338
O 1.288 1.602 9.207
O 1.630 4.806 8.798
O 2.603 1.602 5.967
O 3.308 4.806 4.173
O 4.281 1.602 1.342
O 4.623 4.806 0.933
O 4.791 1.602 3.802
O 3.858 0.313 9.169
O 3.858 2.891 9.169
O 4.720 3.592 5.940
O 4.720 6.021 5.940
O 5.805 4.806 3.980
O 5.289 1.602 7.532
O 6.370 0.397 2.168
O 6.370 2.807 2.168
O 7.581 4.806 0.333
```

Largest 12 diffraction maxima, by angle, 2θ = 10–90°:
d 4.592, intensity 1000
d 3.912, intensity 455
d 3.781, intensity 500
d 3.359, intensity 399
d 3.204, intensity 772
d 2.990, intensity 370
d 2.906, intensity 538
d 2.783, intensity 420
d 2.767, intensity 307
d 2.444, intensity 359
d 2.326, intensity 413
d 1.602, intensity 346

Record 2
Computed powder diffraction line list of Ba2Tl2Co3O10 for Cu Ka, from the PBE+U geometry in the Materials Project.
Neutral-atom scattering factors, no anomalous dispersion.

Structural model:
```
17
Lattice="3.695 0.000 0.000 0.000 3.697 0.000 -1.619 -1.205 19.715" Properties=species:S:1:pos:R:3 pbc="T T T"
Ba 0.000 0.000 0.000
Ba 0.209 0.589 11.146
Tl 0.227 0.627 16.643
Tl 2.068 2.461 14.217
Co 1.841 1.856 2.281
Co 1.774 2.249 5.589
Co 2.038 2.430 8.912
O -0.008 1.852 2.013
O -0.073 2.258 5.668
O 0.195 2.429 9.260
O 0.349 0.614 14.526
O 0.243 0.640 18.689
O 1.839 -0.001 1.985
O 1.770 0.403 5.464
O 2.038 0.581 9.011
O 2.073 2.444 12.173
O 2.199 2.470 16.330
```

Largest 12 diffraction maxima, by angle, 2θ = 10–90°:
d 3.331, intensity 201
d 3.305, intensity 252
d 3.137, intensity 483
d 3.106, intensity 516
d 3.073, intensity 515
d 3.044, intensity 493
d 2.871, intensity 269
d 2.815, intensity 689
d 2.613, intensity 1000
d 2.598, intensity 360
d 1.847, intensity 570
d 1.575, intensity 211

Record 3
Computed powder diffraction line list of CaSmCrO4 for Cu Ka, from the PBE+U geometry in the Materials Project.
Neutral-atom scattering factors, no anomalous dispersion.

Structural model:
```
14
Lattice="2.711 -5.900 0.000 2.711 5.900 0.000 0.000 0.000 5.630" Properties=species:S:1:pos:R:3 pbc="T T T"
Ca 2.711 4.679 2.815
Ca 2.711 -4.679 0.000
Sm 2.711 1.317 2.603
Sm 2.711 -1.317 5.418
Cr 2.711 2.954 5.517
Cr 2.711 -2.954 2.702
O 1.353 2.687 4.116
O 2.711 4.931 5.175
O 2.711 0.886 0.280
O 1.353 -2.687 1.301
O 4.069 2.687 4.116
O 2.711 -0.886 3.095
O 2.711 -4.931 2.360
O 4.069 -2.687 1.301
```

Largest 12 diffraction maxima, by angle, 2θ = 10–90°:
d 4.927, intensity 361
d 4.073, intensity 433
d 3.708, intensity 155
d 2.815, intensity 385
d 2.771, intensity 1000
d 2.711, intensity 393
d 2.257, intensity 205
d 2.020, intensity 178
d 1.996, intensity 139
d 1.953, intensity 415
d 1.617, intensity 217
d 1.577, intensity 181

Record 4
Computed powder diffraction line list of Rb2VAgF6 for Cu Ka, from the PBE+U geometry in the Materials Project.
Neutral-atom scattering factors, no anomalous dispersion.

Structural model:
```
10
Lattice="0.000 4.416 4.416 4.416 0.000 4.416 4.416 4.416 0.000" Properties=species:S:1:pos:R:3 pbc="T T T"
Rb 2.208 2.208 2.208
Rb 6.625 6.625 6.625
V 0.000 0.000 0.000
Ag 4.416 4.416 4.416
F 4.416 4.416 1.966
F 4.416 1.966 4.416
F 6.867 4.416 4.416
F 1.966 4.416 4.416
F 4.416 6.867 4.416
F 4.416 4.416 6.867
```

Largest 12 diffraction maxima, by angle, 2θ = 10–90°:
d 5.100, intensity 36
d 3.123, intensity 1000
d 2.663, intensity 67
d 2.550, intensity 63
d 2.208, intensity 403
d 2.026, intensity 56
d 1.803, intensity 376
d 1.561, intensity 236
d 1.397, intensity 186
d 1.275, intensity 73
d 1.180, intensity 207
d 1.104, intensity 34

Record 5
Computed powder diffraction line list of K2LiVO4 for Cu Ka, from the PBE+U geometry in the Materials Project.
Neutral-atom scattering factors, no anomalous dispersion.

Structural model:
```
16
Lattice="4.241 -3.935 0.000 4.241 3.935 0.000 -0.052 0.000 7.631" Properties=species:S:1:pos:R:3 pbc="T T T"
K 4.241 2.215 0.000
K 2.503 0.000 2.460
K 5.926 0.000 5.171
K 4.241 -2.215 0.000
Li 4.215 2.538 3.815
Li 4.215 -2.538 3.815
V 2.384 0.000 5.682
V 6.046 0.000 1.949
O 0.763 0.000 5.020
O 3.239 1.416 5.124
O 2.304 0.000 7.425
O 5.191 1.416 2.506
O 3.239 -1.416 5.124
O 6.125 0.000 0.205
O 5.191 -1.416 2.506
O 7.667 0.000 2.610
```

Largest 12 diffraction maxima, by angle, 2θ = 10–90°:
d 4.599, intensity 455
d 3.935, intensity 262
d 2.885, intensity 1000
d 2.846, intensity 254
d 2.827, intensity 203
d 2.739, intensity 440
d 2.702, intensity 201
d 2.661, intensity 332
d 2.544, intensity 410
d 2.176, intensity 163
d 1.968, intensity 175
d 1.424, intensity 196

Record 6
Computed powder diffraction line list of Li4FeTeW2O12 for Cu Ka, from the PBE+U geometry in the Materials Project.
Neutral-atom scattering factors, no anomalous dispersion.

Structural model:
```
40
Lattice="7.555 0.000 0.000 0.437 7.566 0.000 0.469 0.438 7.558" Properties=species:S:1:pos:R:3 pbc="T T T"
Li 0.000 0.000 0.000
Li 0.711 3.918 7.541
Li 3.794 3.369 6.957
Li 4.495 7.910 7.400
Li 4.450 7.739 3.806
Li 4.255 3.667 3.736
Li 7.617 3.401 3.351
Li 8.106 7.771 3.666
Fe 1.796 1.519 1.588
Fe 5.798 1.757 5.344
Te 2.228 5.660 5.397
Te 5.719 5.338 1.541
W 1.957 5.336 1.581
W 1.997 1.790 5.264
W 5.519 1.551 1.502
W 5.977 5.514 5.396
O 1.383 5.958 3.192
O 1.786 7.505 5.870
O 1.412 3.496 1.905
O 1.725 2.288 7.114
O 2.200 1.027 3.464
O 2.416 7.059 0.953
O 2.685 5.062 7.222
O 2.576 3.469 4.715
O 3.831 1.273 5.688
O 3.842 4.870 2.053
O 4.108 6.065 4.887
O 3.674 1.837 1.023
O 5.267 3.709 5.601
O 5.528 6.108 7.258
O 5.351 7.187 1.987
O 5.190 1.954 3.333
O 6.194 4.848 3.381
O 6.272 1.413 7.247
O 6.039 3.434 1.071
O 6.484 7.245 4.839
O 7.631 4.921 5.919
O 7.535 5.687 0.916
O 7.348 1.111 1.876
O 7.668 2.086 4.787
```

Largest 12 diffraction maxima, by angle, 2θ = 10–90°:
d 4.277, intensity 150
d 3.773, intensity 1000
d 2.750, intensity 269
d 2.741, intensity 132
d 2.595, intensity 270
d 2.264, intensity 89
d 2.140, intensity 103
d 1.889, intensity 116
d 1.730, intensity 133
d 1.726, intensity 92
d 1.652, intensity 113
d 1.527, intensity 97